This entry pairs a crystal structure of Tl3VZn2F9 with its computed XRD peak list. Radiation: Cu Kα (λ = 1.5418 Å). Structure: a cell relaxed with PBE+U.
Kinematic intensities with the Lorentz-polarization factor, no thermal factor.

Top 10 peaks for 10 to 90 degrees two-theta, by angle:
Position (°2θ)  intensity  hkl
21.0  25  1 0 1
29.9  100  1 1 0
36.9  24  0 2 1
42.8  33  2 0 2
48.2  13  2 1 1
53.1  41  3 0 0
62.2  21  2 2 0
70.5  18  3 1 2
74.5  9  4 0 1
86.1  22  4 1 0

Structural model:
a b c (Å): 5.9735 5.9735 7.3172
angles (deg): 90.00 90.00 120.00
Sites, in units of the cell vectors:
Tl1 0.0000 0.0000 0.0000
Tl2 0.3333 0.6667 0.6681
Tl3 0.6667 0.3333 0.3319
V1 0.0000 0.0000 0.5000
Zn1 0.3333 0.6667 0.1644
Zn2 0.6667 0.3333 0.8356
F1 0.0000 0.5000 0.0000
F2 0.1692 0.3383 0.3297
F3 0.1692 0.8308 0.3297
F4 0.3383 0.1692 0.6703
F5 0.5000 0.0000 0.0000
F6 0.5000 0.5000 0.0000
F7 0.6617 0.8308 0.3297
F8 0.8308 0.1692 0.6703
F9 0.8308 0.6617 0.6703